The following is a theoretical XRD peak list of La3RuO7. It was derived from a crystal structure in Alexandria, relaxed with PBE, using Cu Ka.

The 10 most intense peaks (2θ from 10° to 80°), sorted by position:
two_theta	I_rel
25.3	17
26.6	21
28.2	100
29.2	26
30.4	62
30.9	58
40.7	18
43.1	24
53.4	15
54.9	19

Unit cell a=8.909 b=5.780 c=12.636 alpha=90.00 beta=104.43 gamma=90.00
Space group P2_1/c (No. 14)
Symmetry-distinct sites (fractional):
La: 0.001 0.016 0.141 [4 per cell]
La: 0.295 0.019 0.428 [4 per cell]
La: 0.431 0.512 0.632 [4 per cell]
Ru: 0.216 0.551 0.170 [4 per cell]
O: 0.008 0.076 0.330 [4 per cell]
O: 0.172 0.735 0.533 [4 per cell]
O: 0.192 0.236 0.580 [4 per cell]
O: 0.240 0.641 0.747 [4 per cell]
O: 0.252 0.107 0.811 [4 per cell]
O: 0.437 0.558 0.178 [4 per cell]
O: 0.493 0.742 0.489 [4 per cell]

The following is a theoretical XRD peak list of La6RuO12. It was derived from a crystal structure in Alexandria, relaxed with PBE, using Cu Ka.

The 10 most intense peaks (2θ from 10° to 80°), sorted by position:
two_theta	I_rel
26.8	34
27.9	100
32.0	48
45.2	31
46.6	28
53.3	13
54.5	25
55.1	14
57.6	10
75.0	9

Unit cell a=10.3223 b=10.3223 c=9.9703 alpha=90.00 beta=90.00 gamma=120.00
Space group R-3 (No. 148, hexagonal axes)
Symmetry-distinct sites (fractional):
La: 0.0479 0.2563 0.1486 [18 per cell]
Ru: 0.0000 0.0000 0.5000 [3 per cell]
O: 0.0374 0.2275 0.9045 [18 per cell]
O: 0.0401 0.1783 0.3935 [18 per cell]

The following is a theoretical XRD peak list of La3RuO7. It was derived from a crystal structure in Alexandria, relaxed with PBE, using Cu Ka.

The 10 most intense peaks (2θ from 10° to 80°), sorted by position:
two_theta	I_rel
26.4	17
28.1	100
28.6	77
30.9	18
32.0	20
33.3	35
43.8	12
46.8	41
47.2	18
56.1	23

Unit cell a=11.198 b=7.526 c=7.700 alpha=90.00 beta=90.00 gamma=90.00
Space group Cmcm (No. 63)
Symmetry-distinct sites (fractional):
La: 0.000 0.000 0.000 [4 per cell]
La: 0.221 0.312 0.250 [8 per cell]
Ru: 0.000 0.500 0.000 [4 per cell]
O: 0.000 0.421 0.250 [4 per cell]
O: 0.124 0.317 0.540 [16 per cell]
O: 0.131 0.030 0.250 [8 per cell]

The following is a theoretical XRD peak list of SrLaRu2O6. It was derived from a crystal structure in Alexandria, relaxed with PBE, using Cu Ka.

The 10 most intense peaks (2θ from 10° to 80°), sorted by position:
two_theta	I_rel
31.3	23
31.8	100
32.0	25
45.4	24
45.7	15
56.0	14
56.4	10
56.9	34
66.3	14
75.6	9

Unit cell a=7.948 b=5.717 c=5.589 alpha=90.00 beta=90.00 gamma=90.00
Space group Pmn2_1 (No. 31)
Symmetry-distinct sites (fractional):
Sr: 0.000 0.203 0.000 [2 per cell]
La: 0.000 0.699 0.478 [2 per cell]
Ru: 0.250 0.249 0.491 [4 per cell]
O: 0.000 0.272 0.567 [2 per cell]
O: 0.000 0.764 0.900 [2 per cell]
O: 0.206 0.953 0.291 [4 per cell]
O: 0.208 0.462 0.200 [4 per cell]